# 1
Structure and computed PXRD pattern of DyRh2Pb (the GGA-PBE geometry in the Materials Project; CuKα).
Lines closer than 0.1° are merged.

Principal peaks in the range 15 to 90 degrees two-theta, sorted by position:
2theta  Rel. int.
22.83  1
26.42  9
37.72  100
44.55  1
46.64  3
54.40  17
61.47  4
68.09  35
80.55  11
86.58  2

Structure:
a b c (Å): 4.770 4.770 4.770
angles (deg): 60.00 60.00 60.00
Atoms (fractional coordinates):
Dy (0.000, 0.000, 0.000)
Rh (0.250, 0.250, 0.250)
Rh (0.750, 0.750, 0.750)
Pb (0.500, 0.500, 0.500)

---

# 2
Structure and computed PXRD pattern of Ba2Tl2Zn3Sn4O12 (the GGA-PBE geometry in the Materials Project; CuKα).
Lines closer than 0.1° are merged.

Principal peaks in the range 15 to 90 degrees two-theta, sorted by position:
2theta  Rel. int.
27.56  54
29.74  100
32.15  86
45.63  16
46.11  41
54.56  17
55.83  36
57.28  19
67.26  16
76.48  26

Structure:
a b c (Å): 25.707 25.707 25.707
angles (deg): 171.21 171.21 12.44
Atoms (fractional coordinates):
Ba (0.171, 0.171, 0.000)
Ba (0.829, 0.829, 0.000)
Tl (0.272, 0.272, 0.000)
Tl (0.728, 0.728, 0.000)
Zn (0.000, 0.000, 0.000)
Zn (0.073, 0.073, 0.000)
Zn (0.927, 0.927, 0.000)
Sn (0.380, 0.380, 0.000)
Sn (0.459, 0.459, 0.000)
Sn (0.541, 0.541, 0.000)
Sn (0.620, 0.620, 0.000)
O (0.063, 0.563, 0.500)
O (0.134, 0.634, 0.500)
O (0.232, 0.232, 0.000)
O (0.312, 0.312, 0.000)
O (0.366, 0.866, 0.500)
O (0.437, 0.937, 0.500)
O (0.563, 0.063, 0.500)
O (0.634, 0.134, 0.500)
O (0.688, 0.688, 0.000)
O (0.768, 0.768, 0.000)
O (0.866, 0.366, 0.500)
O (0.937, 0.437, 0.500)

---

# 3
Structure and computed PXRD pattern of Sr2MgCuO4 (the GGA-PBE geometry in the Materials Project; CuKα).
Lines closer than 0.1° are merged.

Principal peaks in the range 15 to 90 degrees two-theta, sorted by position:
2theta  Rel. int.
29.60  48
32.45  25
32.69  100
34.15  38
37.01  41
40.84  21
47.83  29
47.95  18
59.92  15
60.23  14

Structure:
a b c (Å): 3.829 3.829 8.822
angles (deg): 95.94 95.94 86.57
Atoms (fractional coordinates):
Sr (0.029, 0.029, 0.198)
Sr (0.971, 0.971, 0.802)
Mg (0.500, 0.500, 0.500)
Cu (0.500, 0.500, 0.000)
O (0.000, 0.500, 0.000)
O (0.326, 0.326, 0.665)
O (0.500, 0.000, 0.000)
O (0.674, 0.674, 0.335)

---

# 4
Structure and computed PXRD pattern of Rb3PS4 (the GGA-PBE geometry in the Materials Project; CuKα).
Lines closer than 0.1° are merged.

Principal peaks in the range 15 to 90 degrees two-theta, sorted by position:
2theta  Rel. int.
24.56  81
24.69  76
26.35  61
26.57  51
29.23  75
29.88  55
30.58  100
31.10  46
32.01  70
37.74  61

Structure:
a b c (Å): 9.448 11.167 9.529
angles (deg): 90.00 90.00 90.00
Atoms (fractional coordinates):
Rb (0.046, 0.043, 0.205)
Rb (0.046, 0.457, 0.205)
Rb (0.148, 0.750, 0.417)
Rb (0.352, 0.250, 0.917)
Rb (0.454, 0.543, 0.705)
Rb (0.454, 0.957, 0.705)
Rb (0.546, 0.043, 0.295)
Rb (0.546, 0.457, 0.295)
Rb (0.648, 0.750, 0.083)
Rb (0.852, 0.250, 0.583)
Rb (0.954, 0.543, 0.795)
Rb (0.954, 0.957, 0.795)
P (0.224, 0.750, 0.982)
P (0.276, 0.250, 0.482)
P (0.724, 0.750, 0.518)
P (0.776, 0.250, 0.018)
S (0.025, 0.750, 0.073)
S (0.169, 0.097, 0.542)
S (0.169, 0.403, 0.542)
S (0.205, 0.750, 0.766)
S (0.295, 0.250, 0.266)
S (0.331, 0.597, 0.042)
S (0.331, 0.903, 0.042)
S (0.475, 0.250, 0.573)
S (0.525, 0.750, 0.427)
S (0.669, 0.097, 0.958)
S (0.669, 0.403, 0.958)
S (0.705, 0.750, 0.734)
S (0.795, 0.250, 0.234)
S (0.831, 0.597, 0.458)
S (0.831, 0.903, 0.458)
S (0.975, 0.250, 0.927)

---

# 5
Structure and computed PXRD pattern of HfNi2Sb (the GGA-PBE geometry in the Materials Project; CuKα).
Lines closer than 0.1° are merged.

Principal peaks in the range 15 to 90 degrees two-theta, sorted by position:
2theta  Rel. int.
26.76  29
32.86  80
41.25  85
42.98  100
55.14  18
61.09  26
72.35  16
73.98  15
77.58  25
78.77  16

Structure:
a b c (Å): 4.209 4.209 8.212
angles (deg): 90.00 90.00 120.00
Atoms (fractional coordinates):
Hf (0.333, 0.667, 0.250)
Hf (0.667, 0.333, 0.750)
Ni (0.333, 0.667, 0.596)
Ni (0.333, 0.667, 0.904)
Ni (0.667, 0.333, 0.096)
Ni (0.667, 0.333, 0.404)
Sb (0.000, 0.000, 0.000)
Sb (0.000, 0.000, 0.500)

---

# 6
Structure and computed PXRD pattern of Na3ZrScSi2SO12 (the GGA-PBE geometry in the Materials Project; CuKα).
Lines closer than 0.1° are merged.

Principal peaks in the range 15 to 90 degrees two-theta, sorted by position:
2theta  Rel. int.
19.11  59
19.35  41
22.62  54
27.34  33
30.02  21
30.48  100
33.85  50
46.15  21
46.26  14
52.81  17

Structure:
a b c (Å): 9.171 9.171 9.300
angles (deg): 119.69 119.69 60.05
Atoms (fractional coordinates):
Na (0.064, 0.936, 0.500)
Na (0.161, 0.692, 0.754)
Na (0.293, 0.435, 0.006)
Na (0.435, 0.293, 0.506)
Na (0.692, 0.161, 0.254)
Na (0.936, 0.064, 0.000)
Zr (0.336, 0.858, 0.212)
Zr (0.858, 0.336, 0.712)
Sc (0.037, 0.550, 0.324)
Sc (0.550, 0.037, 0.824)
Si (0.153, 0.243, 0.526)
Si (0.243, 0.153, 0.026)
Si (0.743, 0.944, 0.530)
Si (0.944, 0.743, 0.030)
S (0.443, 0.647, 0.517)
S (0.647, 0.443, 0.017)
O (0.063, 0.179, 0.850)
O (0.128, 0.745, 0.035)
O (0.136, 0.417, 0.505)
O (0.179, 0.063, 0.350)
O (0.206, 0.325, 0.197)
O (0.254, 0.970, 0.033)
O (0.285, 0.630, 0.507)
O (0.325, 0.206, 0.697)
O (0.413, 0.666, 0.354)
O (0.417, 0.136, 0.005)
O (0.472, 0.806, 0.670)
O (0.481, 0.595, 0.037)
O (0.563, 0.912, 0.362)
O (0.595, 0.481, 0.537)
O (0.630, 0.285, 0.007)
O (0.666, 0.413, 0.854)
O (0.714, 0.984, 0.707)
O (0.745, 0.128, 0.535)
O (0.783, 0.930, 0.012)
O (0.806, 0.472, 0.170)
O (0.912, 0.563, 0.862)
O (0.930, 0.783, 0.512)
O (0.970, 0.254, 0.533)
O (0.984, 0.714, 0.207)